# Zn5Rh
Theoretical X-ray powder pattern, Cu Ka. Input: a crystal structure in Alexandria, relaxed with GGA-PBE.
Kinematic intensities with the Lorentz-polarization factor, no thermal factor.

Peak list (10 most intense, 5 to 70 degrees two-theta, low angle first)
2theta	I/Imax	hkl
37.19	44	1 1 1
38.94	25	2 0 2
40.90	71	4 0 -2
42.42	100	1 1 -2
42.85	97	3 1 0
43.79	41	0 0 3
44.63	39	4 0 1
56.11	13	3 1 -3
65.86	16	0 2 0
69.37	27	3 1 3

Atomic structure:
a b c (Å): 9.8765 2.8361 6.4640
angles (deg): 90.00 106.37 90.00
Sites, in units of the cell vectors:
Zn: 0.0000 0.0000 0.0000
Zn: 0.0493 0.0000 0.6127
Zn: 0.1694 0.5000 0.3430
Zn: 0.2246 0.5000 0.9297
Zn: 0.3854 0.0000 0.2790
Zn: 0.5000 0.5000 0.0000
Zn: 0.5493 0.5000 0.6127
Zn: 0.6694 0.0000 0.3430
Zn: 0.7246 0.0000 0.9297
Zn: 0.8854 0.5000 0.2790
Rh: 0.3318 0.0000 0.6635
Rh: 0.8318 0.5000 0.6635